Entry 1:
Theoretical powder X-ray diffraction pattern
Compound: La2Pr7NdTl2
Radiation: λ = 1.5418 Å (Cu Kα)
Structure: the GGA-PBE geometry in Alexandria

Top 10 peaks for 2θ from 15° to 90°, low angle first:
- 2θ = 29.02°, I = 100
- 2θ = 30.61°, I = 67
- 2θ = 31.61°, I = 20
- 2θ = 32.82°, I = 20
- 2θ = 34.50°, I = 54
- 2θ = 34.65°, I = 32
- 2θ = 34.83°, I = 23
- 2θ = 49.73°, I = 34
- 2θ = 59.61°, I = 17
- 2θ = 60.37°, I = 25

a = 6.270 Å, b = 6.270 Å, c = 11.480 Å
α = 90.00°, β = 90.00°, γ = 111.33°
Fractional coordinates of all 12 atoms:
La 0.000 0.000 0.149
La 0.000 0.000 0.851
Pr 0.000 0.000 0.500
Pr 0.000 0.500 0.331
Pr 0.000 0.500 0.669
Pr 0.312 0.688 0.000
Pr 0.500 0.000 0.331
Pr 0.500 0.000 0.669
Pr 0.688 0.312 0.000
Nd 0.500 0.500 0.500
Tl 0.500 0.500 0.223
Tl 0.500 0.500 0.777

---

Entry 2:
Theoretical powder X-ray diffraction pattern
Compound: Ce4Ge12Os
Radiation: λ = 1.5418 Å (Cu Kα)
Structure: the GGA-PBE geometry in Alexandria

Top 10 peaks for 2θ from 15° to 90°, low angle first:
- 2θ = 28.89°, I = 41
- 2θ = 32.39°, I = 17
- 2θ = 35.58°, I = 100
- 2θ = 38.54°, I = 25
- 2θ = 41.32°, I = 83
- 2θ = 48.87°, I = 15
- 2θ = 51.20°, I = 12
- 2θ = 59.86°, I = 50
- 2θ = 71.61°, I = 30
- 2θ = 75.33°, I = 15

a = 7.570 Å, b = 7.570 Å, c = 7.570 Å
α = 109.47°, β = 109.47°, γ = 109.47°
Fractional coordinates of all 17 atoms:
Ce 0.000 0.000 0.500
Ce 0.000 0.500 0.000
Ce 0.500 0.000 0.000
Ce 0.500 0.500 0.500
Ge 0.000 0.292 0.292
Ge 0.000 0.708 0.708
Ge 0.250 0.500 0.750
Ge 0.250 0.750 0.500
Ge 0.292 0.000 0.292
Ge 0.292 0.292 0.000
Ge 0.500 0.250 0.750
Ge 0.500 0.750 0.250
Ge 0.708 0.000 0.708
Ge 0.708 0.708 0.000
Ge 0.750 0.250 0.500
Ge 0.750 0.500 0.250
Os 0.000 0.000 0.000